This entry pairs a crystal structure of TbHf2CoN4 with its theoretical X-ray powder pattern. Radiation: Cu Kα (weighted mean of Kα1 and Kα2). Structure: a cell relaxed with PBE.
Intensities are scaled so that the largest is 100.

Structural model:
abc: 5.666 5.666 11.007
angles: 90.00 90.00 147.27
Atoms (fractional coordinates):
Tb 0.110 0.890 0.750
Tb 0.890 0.110 0.250
Hf 0.368 0.632 0.555
Hf 0.368 0.632 0.945
Hf 0.632 0.368 0.055
Hf 0.632 0.368 0.445
Co 0.153 0.847 0.250
Co 0.847 0.153 0.750
N 0.000 0.000 0.000
N 0.000 0.000 0.500
N 0.269 0.731 0.115
N 0.269 0.731 0.385
N 0.447 0.553 0.750
N 0.553 0.447 0.250
N 0.731 0.269 0.615
N 0.731 0.269 0.885

The 10 most intense peaks (2θ from 10° to 80°), most intense first:
2θ/deg  I/Imax
29.37  100
33.48  97
41.09  78
32.95  64
38.46  33
51.10  31
53.64  26
56.80  24
32.54  22
66.11  21



This entry pairs a crystal structure of Sc3Tc4W2 with its theoretical X-ray powder pattern. Radiation: Cu Kα (weighted mean of Kα1 and Kα2). Structure: a cell relaxed with PBE.
Intensities are scaled so that the largest is 100.

Structural model:
abc: 4.502 4.502 8.398
angles: 90.00 90.00 120.00
Atoms (fractional coordinates):
Sc 0.000 0.000 0.000
Sc 0.333 0.667 0.573
Sc 0.667 0.333 0.427
Tc 0.000 0.000 0.336
Tc 0.000 0.000 0.664
Tc 0.333 0.667 0.892
Tc 0.667 0.333 0.108
W 0.333 0.667 0.212
W 0.667 0.333 0.788

The 10 most intense peaks (2θ from 10° to 80°), most intense first:
2θ/deg  I/Imax
39.63  100
40.06  99
25.18  37
57.62  33
72.48  33
72.77  16
71.63  16
21.16  15
45.73  13
10.53  10



This entry pairs a crystal structure of CsB2Br8 with its theoretical X-ray powder pattern. Radiation: Cu Kα (weighted mean of Kα1 and Kα2). Structure: a cell relaxed with PBE.
Intensities are scaled so that the largest is 100.

Structural model:
abc: 7.244 7.244 11.925
angles: 115.29 115.29 60.94
Atoms (fractional coordinates):
Cs 0.000 0.000 0.000
B 0.473 0.473 0.250
B 0.527 0.527 0.750
Br 0.144 0.595 0.195
Br 0.400 0.400 0.810
Br 0.405 0.856 0.805
Br 0.412 0.412 0.551
Br 0.588 0.588 0.449
Br 0.595 0.144 0.195
Br 0.600 0.600 0.190
Br 0.856 0.405 0.805

The 10 most intense peaks (2θ from 10° to 80°), most intense first:
2θ/deg  I/Imax
28.19  100
18.86  66
14.56  61
30.18  52
29.64  37
52.39  37
16.35  36
25.89  36
29.82  35
33.32  35



This entry pairs a crystal structure of K2In5Au4 with its theoretical X-ray powder pattern. Radiation: Cu Kα (weighted mean of Kα1 and Kα2). Structure: a cell relaxed with PBE.
Intensities are scaled so that the largest is 100.

Structural model:
abc: 7.114 7.114 8.914
angles: 119.73 119.73 70.37
Atoms (fractional coordinates):
K 0.078 0.078 0.325
K 0.922 0.922 0.675
In 0.135 0.530 0.902
In 0.470 0.865 0.098
In 0.500 0.500 0.500
In 0.530 0.135 0.902
In 0.865 0.470 0.098
Au 0.274 0.274 0.114
Au 0.416 0.416 0.730
Au 0.584 0.584 0.270
Au 0.726 0.726 0.886

The 10 most intense peaks (2θ from 10° to 80°), most intense first:
2θ/deg  I/Imax
14.44  100
12.49  58
28.76  55
39.55  36
42.10  33
39.08  31
29.89  29
21.68  29
39.88  27
37.99  24



This entry pairs a crystal structure of SmSc2Fe9 with its theoretical X-ray powder pattern. Radiation: Cu Kα (weighted mean of Kα1 and Kα2). Structure: a cell relaxed with PBE.
Intensities are scaled so that the largest is 100.

Structural model:
abc: 8.430 8.430 8.430
angles: 34.45 34.45 34.45
Atoms (fractional coordinates):
Sm 0.000 0.000 0.000
Sc 0.143 0.143 0.143
Sc 0.857 0.857 0.857
Fe 0.083 0.586 0.586
Fe 0.333 0.333 0.333
Fe 0.414 0.414 0.917
Fe 0.414 0.917 0.414
Fe 0.500 0.500 0.500
Fe 0.586 0.083 0.586
Fe 0.586 0.586 0.083
Fe 0.667 0.667 0.667
Fe 0.917 0.414 0.414

The 10 most intense peaks (2θ from 10° to 80°), most intense first:
2θ/deg  I/Imax
42.82  100
41.96  32
35.98  29
45.82  24
11.17  22
69.39  22
36.70  20
33.56  19
76.29  19
42.50  18



This entry pairs a crystal structure of ScTl2 with its theoretical X-ray powder pattern. Radiation: Cu Kα (weighted mean of Kα1 and Kα2). Structure: a cell relaxed with PBE.
Intensities are scaled so that the largest is 100.

Structural model:
abc: 5.068 5.068 3.388
angles: 90.00 90.00 90.00
Atoms (fractional coordinates):
Sc 0.000 0.000 0.000
Tl 0.000 0.500 0.500
Tl 0.500 0.000 0.500

The 10 most intense peaks (2θ from 10° to 80°), most intense first:
2θ/deg  I/Imax
36.50  100
24.85  84
35.42  54
64.30  39
44.66  37
26.31  37
50.97  19
57.51  18
66.38  18
58.25  17



This entry pairs a crystal structure of Mg17Ga2 with its theoretical X-ray powder pattern. Radiation: Cu Kα (weighted mean of Kα1 and Kα2). Structure: a cell relaxed with PBE.
Intensities are scaled so that the largest is 100.

Structural model:
abc: 7.889 7.889 7.889
angles: 79.47 79.47 79.47
Atoms (fractional coordinates):
Mg 0.000 0.000 0.500
Mg 0.000 0.327 0.673
Mg 0.000 0.500 0.000
Mg 0.000 0.673 0.327
Mg 0.091 0.091 0.091
Mg 0.162 0.662 0.662
Mg 0.327 0.000 0.673
Mg 0.327 0.673 0.000
Mg 0.338 0.338 0.838
Mg 0.338 0.838 0.338
Mg 0.500 0.000 0.000
Mg 0.662 0.162 0.662
Mg 0.662 0.662 0.162
Mg 0.673 0.000 0.327
Mg 0.673 0.327 0.000
Mg 0.838 0.338 0.338
Mg 0.909 0.909 0.909
Ga 0.278 0.278 0.278
Ga 0.722 0.722 0.722

The 10 most intense peaks (2θ from 10° to 80°), most intense first:
2θ/deg  I/Imax
35.13  100
35.61  68
38.24  68
30.71  62
15.03  60
39.55  48
59.67  35
64.19  34
63.95  31
29.27  27



This entry pairs a crystal structure of F with its theoretical X-ray powder pattern. Radiation: Cu Kα (weighted mean of Kα1 and Kα2). Structure: a cell relaxed with PBE.
Intensities are scaled so that the largest is 100.

Structural model:
abc: 5.456 3.448 6.596
angles: 90.00 90.00 90.00
Atoms (fractional coordinates):
F 0.000 0.092 0.097
F 0.000 0.408 0.597
F 0.000 0.592 0.403
F 0.000 0.908 0.903
F 0.500 0.092 0.403
F 0.500 0.408 0.903
F 0.500 0.592 0.097
F 0.500 0.908 0.597

The 10 most intense peaks (2θ from 10° to 80°), most intense first:
2θ/deg  I/Imax
33.62  100
32.83  57
41.34  28
59.11  13
27.04  12
78.79  7
79.81  6
69.26  6
43.03  5
66.23  5